SmNiP2O8: simulated powder diffractogram (Cu Ka), based on a DFT-relaxed cell (GGA+U, Alexandria).
Neutral-atom scattering factors, no anomalous dispersion.

Structure:
abc: 5.4207 5.4207 6.0925
angles: 90.00 90.00 120.00
Space group P-3m1 (No. 164)
Asymmetric unit:
Sm: 0.0000 0.0000 0.0000
Ni: 0.0000 0.0000 0.5000
P: 0.3333 0.6667 0.6431
O: 0.1764 0.3529 0.7316
O: 0.3333 0.6667 0.3936

The 10 most intense peaks (2θ from 15° to 90°), by intensity:
18.90 deg, d 4.694, rel. 100, (1 0 0)
23.93 deg, d 3.719, rel. 65, (1 0 1)
33.05 deg, d 2.710, rel. 63, (1 1 0)
35.12 deg, d 2.555, rel. 62, (0 1 2)
44.76 deg, d 2.025, rel. 40, (1 1 2)
48.99 deg, d 1.859, rel. 36, (2 0 2)
60.37 deg, d 1.533, rel. 22, (1 2 2)
51.51 deg, d 1.774, rel. 18, (2 1 0)
83.68 deg, d 1.156, rel. 16, (2 1 4)
64.30 deg, d 1.449, rel. 16, (1 0 4)